For AsCl5, a PBE-relaxed structure gives the calculated XRD peak list in this record (Cu Kα).
Lines closer than 0.1° are merged.

Largest 8 diffraction maxima, in order of rising 2θ, 10 to 90 degrees two-theta:
- hkl 0 0 1, 2θ 10.38, d = 8.524 Å, I 100
- hkl 2 0 0, 2θ 13.81, d = 6.413 Å, I 87
- hkl 2 0 -1, 2θ 16.60, d = 5.342 Å, I 41
- hkl 2 0 1, 2θ 17.99, d = 4.932 Å, I 33
- hkl 1 1 0, 2θ 24.84, d = 3.585 Å, I 40
- hkl 2 0 2, 2θ 26.05, d = 3.421 Å, I 61
- hkl 3 1 -1, 2θ 32.99, d = 2.715 Å, I 60
- hkl 3 1 -2, 2θ 37.34, d = 2.408 Å, I 43

Crystal structure
Cell: 12.870 3.734 8.553 Å, 90.00 94.75 90.00°
Positions (direct):
As (0.000, 0.000, 0.000)
As (0.500, 0.500, 0.000)
Cl (0.070, 0.000, 0.505)
Cl (0.120, 0.500, 0.921)
Cl (0.169, 0.000, 0.335)
Cl (0.392, 0.000, 0.113)
Cl (0.408, 0.500, 0.773)
Cl (0.570, 0.500, 0.505)
Cl (0.620, 0.000, 0.921)
Cl (0.669, 0.500, 0.335)
Cl (0.892, 0.500, 0.113)
Cl (0.908, 0.000, 0.773)